[1]
The following is a computed powder diffractogram of SrCrO3. It was derived from a PBE+U-relaxed structure, using CuKα.
Intensities are scaled so that the largest is 100.

Main lines, sorted by position (2θ from 10° to 90°):
two_theta	d [Å]	I_rel
26.6	3.345	53
26.8	3.330	28
32.0	2.795	51
32.3	2.768	100
34.5	2.602	77
42.2	2.141	58
42.5	2.125	25
47.8	1.903	38
63.2	1.472	22
67.7	1.384	22

Structural model:
```
20
Lattice="9.283 0.000 0.000 0.000 4.780 2.795 0.000 -4.780 2.795" Properties=species:S:1:pos:R:3 pbc="T T T"
Sr 0.000 0.000 5.587
Sr 2.321 1.614 2.795
Sr 4.641 0.000 5.587
Sr 6.962 -1.614 2.795
Cr 1.042 -1.571 2.762
Cr 3.599 -1.571 2.762
Cr 5.684 1.571 2.762
Cr 8.240 1.571 2.762
O 0.000 0.000 2.834
O 0.021 -2.392 1.440
O 2.321 -0.819 1.479
O 2.321 -3.036 2.804
O 2.321 -0.858 4.064
O 4.620 -2.392 1.440
O 4.641 0.000 2.834
O 4.663 2.392 1.440
O 6.962 0.819 1.479
O 6.962 0.858 4.064
O 6.962 3.036 2.804
O 9.261 2.392 1.440
```



[2]
The following is a computed powder diffractogram of Li9Mn2Co5O16. It was derived from a PBE+U-relaxed structure, using CuKα.
Intensities are scaled so that the largest is 100.

Main lines, sorted by position (2θ from 10° to 90°):
two_theta	d [Å]	I_rel
18.4	4.832	100
35.3	2.545	15
36.3	2.476	26
37.6	2.391	8
42.5	2.128	29
44.1	2.054	53
47.4	1.916	9
58.1	1.588	9
62.7	1.482	15
63.1	1.474	15

Structural model:
```
32
Lattice="5.179 -2.891 0.000 5.179 2.891 0.000 -1.479 0.000 9.600" Properties=species:S:1:pos:R:3 pbc="T T T"
Li 0.000 0.000 0.000
Li 2.794 1.416 7.171
Li 1.779 -0.053 4.742
Li 6.086 1.416 2.429
Li 5.179 -0.010 0.000
Li 2.812 -1.478 7.129
Li 4.440 -1.489 4.800
Li 7.101 -0.053 4.858
Li 6.068 -1.478 2.471
Mn 3.489 -0.011 2.434
Mn 5.390 -0.011 7.166
Co 0.166 0.000 7.117
Co 4.440 1.398 4.800
Co 1.134 -1.448 9.600
Co 8.713 0.000 2.483
Co 7.746 -1.448 0.000
O -0.061 -0.154 3.642
O 2.660 1.345 3.507
O 4.209 1.424 1.277
O 1.880 -0.019 1.243
O 1.852 -0.001 8.516
O 4.670 1.424 8.323
O 3.838 0.038 6.050
O 6.219 1.345 6.094
O 5.042 0.038 3.550
O 2.730 -1.459 3.466
O 4.274 -1.396 1.272
O 7.027 -0.001 1.084
O 6.999 -0.019 8.357
O 4.605 -1.396 8.329
O 6.150 -1.459 6.134
O 8.941 -0.154 5.958
```



[3]
The following is a computed powder diffractogram of MnSiO3. It was derived from a PBE+U-relaxed structure, using CuKα.
Intensities are scaled so that the largest is 100.

Main lines, sorted by position (2θ from 10° to 90°):
two_theta	d [Å]	I_rel
20.5	4.334	23
25.8	3.451	30
27.0	3.304	34
30.3	2.947	20
30.7	2.910	40
31.8	2.815	100
33.8	2.651	17
37.9	2.374	19
41.1	2.197	18
54.7	1.677	17

Structural model:
```
50
Lattice="5.972 0.000 0.000 0.050 8.862 0.000 0.267 3.786 12.061" Properties=species:S:1:pos:R:3 pbc="T T T"
Mn 0.000 0.000 0.000
Mn 0.975 3.604 8.263
Mn 1.123 2.608 1.727
Mn 1.392 2.773 5.040
Mn 2.182 5.328 3.303
Mn 2.986 0.000 0.000
Mn 4.106 7.320 8.759
Mn 4.896 9.874 7.021
Mn 5.165 10.039 10.335
Mn 5.313 9.043 3.798
Si 1.003 7.126 7.688
Si 1.344 5.932 0.415
Si 2.150 9.436 9.401
Si 2.312 8.524 5.245
Si 2.624 8.211 2.288
Si 3.664 4.437 9.774
Si 3.976 4.123 6.816
Si 4.138 3.212 2.660
Si 4.944 6.716 11.646
Si 5.285 5.522 4.374
O 0.299 5.842 12.000
O 0.744 5.612 8.071
O 0.695 4.673 4.532
O 0.878 10.347 8.965
O 1.066 9.575 5.085
O 1.202 4.715 1.462
O 1.508 9.258 1.669
O 1.963 7.835 8.917
O 2.011 7.389 6.384
O 2.207 3.825 10.186
O 2.355 9.363 11.049
O 2.428 7.607 3.789
O 2.536 3.388 6.700
O 2.470 6.929 1.205
O 2.646 2.866 3.252
O 3.642 9.782 8.809
O 3.818 5.719 10.856
O 3.752 9.260 5.361
O 3.860 5.041 8.273
O 3.933 3.285 1.013
O 4.081 8.823 1.875
O 4.277 5.258 5.677
O 4.325 4.813 3.144
O 4.780 3.389 10.392
O 5.086 7.933 10.599
O 5.222 3.073 6.976
O 5.409 2.301 3.096
O 5.593 7.974 7.529
O 5.543 7.035 3.990
O 5.989 6.806 0.062
```



[4]
The following is a computed powder diffractogram of Li3FeBO5. It was derived from a PBE+U-relaxed structure, using CuKα.
Intensities are scaled so that the largest is 100.

Main lines, sorted by position (2θ from 10° to 90°):
two_theta	d [Å]	I_rel
19.3	4.607	26
21.5	4.131	100
21.8	4.084	22
24.7	3.605	94
26.8	3.323	45
28.5	3.134	25
33.2	2.699	36
37.4	2.406	49
37.6	2.394	35
38.2	2.354	28

Structural model:
```
40
Lattice="4.789 0.000 0.000 0.000 16.335 0.000 0.000 0.000 4.811" Properties=species:S:1:pos:R:3 pbc="T T T"
Li 0.814 3.379 0.000
Li 0.880 16.206 4.772
Li 0.892 9.990 4.750
Li 1.503 1.822 2.344
Li 1.515 8.038 2.367
Li 1.581 11.547 2.406
Li 3.208 4.788 0.000
Li 3.274 8.297 4.772
Li 3.286 14.513 4.750
Li 3.897 6.345 2.344
Li 3.909 0.129 2.367
Li 3.975 12.956 2.406
Fe 0.869 6.458 4.740
Fe 1.526 14.626 2.334
Fe 3.263 1.709 4.740
Fe 3.920 9.877 2.334
B 0.864 12.948 4.808
B 1.531 4.780 2.402
B 3.258 11.555 4.808
B 3.925 3.388 2.402
O 0.574 3.682 1.954
O 0.839 9.838 1.928
O 0.875 13.077 1.474
O 1.038 16.279 1.958
O 1.138 6.086 1.798
O 1.257 14.253 4.204
O 1.356 8.111 4.364
O 1.520 4.909 3.880
O 1.556 1.670 4.334
O 1.820 11.850 4.360
O 2.969 4.485 1.954
O 3.233 14.665 1.928
O 3.269 11.426 1.474
O 3.432 8.224 1.958
O 3.532 2.082 1.798
O 3.651 10.250 4.204
O 3.751 0.056 4.364
O 3.914 3.259 3.880
O 3.950 6.497 4.334
O 4.215 12.653 4.360
```



[5]
The following is a computed powder diffractogram of NdCoO3. It was derived from a PBE+U-relaxed structure, using CuKα.
Intensities are scaled so that the largest is 100.

Main lines, sorted by position (2θ from 10° to 90°):
two_theta	d [Å]	I_rel
23.4	3.802	14
33.3	2.688	100
41.1	2.195	18
47.8	1.901	31
53.9	1.700	7
59.6	1.552	38
70.0	1.344	18
79.8	1.202	16
84.5	1.146	6
89.2	1.098	6

Structural model:
```
5
Lattice="3.802 0.000 0.000 0.000 3.802 0.000 0.000 0.000 3.802" Properties=species:S:1:pos:R:3 pbc="T T T"
Nd 0.000 0.000 0.000
Co 1.901 1.901 1.901
O 0.000 1.901 1.901
O 1.901 0.000 1.901
O 1.901 1.901 0.000
```